[1]
Simulated X-ray powder pattern
Compound: La2Zn2O5
Radiation: Cu Kα X-rays
Structure: a PBE-relaxed structure
Intensities are scaled so that the largest is 1000.

Main lines, in order of falling intensity (10° ≤ 2θ ≤ 90°):
- 31.7°, d = 2.820 Å, rel. 1000
- 32.3°, d = 2.768 Å, rel. 327
- 30.7°, d = 2.910 Å, rel. 308
- 45.2°, d = 2.005 Å, rel. 274
- 55.3°, d = 1.662 Å, rel. 201
- 57.3°, d = 1.608 Å, rel. 179
- 22.2°, d = 4.011 Å, rel. 134
- 40.9°, d = 2.207 Å, rel. 121

Structure:
```
data_La2Zn2O5
_space_group_name_H-M_alt 'P 1'
_space_group_IT_number 1
_space_group_name_Hall 'P 1'
_cell_length_a 5.535
_cell_length_b 15.859
_cell_length_c 5.820
_cell_angle_alpha 90.00
_cell_angle_beta 90.00
_cell_angle_gamma 90.00
loop_
_atom_site_label
_atom_site_type_symbol
_atom_site_fract_x
_atom_site_fract_y
_atom_site_fract_z
La1 La 0.003 0.111 0.020
La2 La 0.003 0.389 0.020
La3 La 0.497 0.611 0.520
La4 La 0.497 0.889 0.520
La5 La 0.503 0.111 0.480
La6 La 0.503 0.389 0.480
La7 La 0.997 0.611 0.980
La8 La 0.997 0.889 0.980
Zn1 Zn 0.000 0.000 0.500
Zn2 Zn 0.000 0.500 0.500
Zn3 Zn 0.045 0.250 0.557
Zn4 Zn 0.455 0.750 0.057
Zn5 Zn 0.500 0.000 0.000
Zn6 Zn 0.500 0.500 0.000
Zn7 Zn 0.545 0.250 0.943
Zn8 Zn 0.955 0.750 0.443
O1 O 0.022 0.641 0.587
O2 O 0.022 0.859 0.587
O3 O 0.082 0.750 0.115
O4 O 0.245 0.018 0.754
O5 O 0.245 0.482 0.754
O6 O 0.255 0.518 0.254
O7 O 0.255 0.982 0.254
O8 O 0.418 0.250 0.615
O9 O 0.478 0.141 0.087
O10 O 0.478 0.359 0.087
O11 O 0.522 0.641 0.913
O12 O 0.522 0.859 0.913
O13 O 0.582 0.750 0.385
O14 O 0.745 0.018 0.746
O15 O 0.745 0.482 0.746
O16 O 0.755 0.518 0.246
O17 O 0.755 0.982 0.246
O18 O 0.918 0.250 0.885
O19 O 0.978 0.141 0.413
O20 O 0.978 0.359 0.413
```

***

[2]
Simulated X-ray powder pattern
Compound: SbPb3
Radiation: Cu Kα X-rays
Structure: a PBE-relaxed structure
Intensities are scaled so that the largest is 1000.

Main lines, in order of falling intensity (10° ≤ 2θ ≤ 90°):
- 33.6°, d = 2.670 Å, rel. 1000
- 30.4°, d = 2.939 Å, rel. 284
- 29.8°, d = 2.997 Å, rel. 234
- 56.1°, d = 1.640 Å, rel. 233
- 62.3°, d = 1.491 Å, rel. 229
- 52.9°, d = 1.730 Å, rel. 187
- 43.1°, d = 2.098 Å, rel. 174
- 64.1°, d = 1.452 Å, rel. 159

Structure:
```
data_SbPb3
_space_group_name_H-M_alt 'P 1'
_space_group_IT_number 1
_space_group_name_Hall 'P 1'
_cell_length_a 3.461
_cell_length_b 3.461
_cell_length_c 11.754
_cell_angle_alpha 90.00
_cell_angle_beta 90.00
_cell_angle_gamma 120.00
loop_
_atom_site_label
_atom_site_type_symbol
_atom_site_fract_x
_atom_site_fract_y
_atom_site_fract_z
Sb1 Sb 0.000 0.000 0.000
Pb1 Pb 0.000 0.000 0.500
Pb2 Pb 0.667 0.333 0.246
Pb3 Pb 0.667 0.333 0.754
```

***

[3]
Simulated X-ray powder pattern
Compound: RePb3N3
Radiation: Cu Kα X-rays
Structure: a PBE-relaxed structure
Intensities are scaled so that the largest is 1000.

Main lines, in order of falling intensity (10° ≤ 2θ ≤ 90°):
- 32.1°, d = 2.792 Å, rel. 1000
- 31.7°, d = 2.820 Å, rel. 881
- 23.6°, d = 3.766 Å, rel. 731
- 30.7°, d = 2.912 Å, rel. 650
- 39.1°, d = 2.304 Å, rel. 412
- 55.4°, d = 1.657 Å, rel. 211
- 55.2°, d = 1.663 Å, rel. 192
- 28.2°, d = 3.162 Å, rel. 178

Structure:
```
data_RePb3N3
_space_group_name_H-M_alt 'P 1'
_space_group_IT_number 1
_space_group_name_Hall 'P 1'
_cell_length_a 7.077
_cell_length_b 5.824
_cell_length_c 8.269
_cell_angle_alpha 90.00
_cell_angle_beta 114.38
_cell_angle_gamma 90.00
loop_
_atom_site_label
_atom_site_type_symbol
_atom_site_fract_x
_atom_site_fract_y
_atom_site_fract_z
Re1 Re 0.120 0.250 0.221
Re2 Re 0.880 0.750 0.779
Pb1 Pb 0.154 0.250 0.794
Pb2 Pb 0.335 0.750 0.202
Pb3 Pb 0.341 0.750 0.689
Pb4 Pb 0.659 0.250 0.311
Pb5 Pb 0.665 0.250 0.798
Pb6 Pb 0.846 0.750 0.206
N1 N 0.171 0.750 0.881
N2 N 0.234 0.250 0.453
N3 N 0.308 0.250 0.114
N4 N 0.692 0.750 0.886
N5 N 0.766 0.750 0.547
N6 N 0.829 0.250 0.119
```

***

[4]
Simulated X-ray powder pattern
Compound: ZrNi4Sn
Radiation: Cu Kα X-rays
Structure: a PBE-relaxed structure
Intensities are scaled so that the largest is 1000.

Main lines, in order of falling intensity (10° ≤ 2θ ≤ 90°):
- 43.3°, d = 2.089 Å, rel. 1000
- 36.7°, d = 2.449 Å, rel. 462
- 70.7°, d = 1.333 Å, rel. 299
- 45.3°, d = 2.000 Å, rel. 247
- 78.0°, d = 1.225 Å, rel. 234
- 66.1°, d = 1.414 Å, rel. 167
- 89.5°, d = 1.095 Å, rel. 79
- 22.2°, d = 4.000 Å, rel. 17

Structure:
```
data_ZrNi4Sn
_space_group_name_H-M_alt 'P 1'
_space_group_IT_number 1
_space_group_name_Hall 'P 1'
_cell_length_a 4.899
_cell_length_b 4.899
_cell_length_c 4.899
_cell_angle_alpha 60.00
_cell_angle_beta 60.00
_cell_angle_gamma 60.00
loop_
_atom_site_label
_atom_site_type_symbol
_atom_site_fract_x
_atom_site_fract_y
_atom_site_fract_z
Zr1 Zr 0.000 0.000 0.000
Ni1 Ni 0.124 0.625 0.625
Ni2 Ni 0.625 0.124 0.625
Ni3 Ni 0.625 0.625 0.124
Ni4 Ni 0.625 0.625 0.625
Sn1 Sn 0.250 0.250 0.250
```

***

What did the fourth record say?
Simulated X-ray powder pattern
Compound: ZrNi4Sn
Radiation: Cu Kα X-rays
Structure: a PBE-relaxed structure
Intensities are scaled so that the largest is 1000.

Main lines, in order of falling intensity (10° ≤ 2θ ≤ 90°):
- 43.3°, d = 2.089 Å, rel. 1000
- 36.7°, d = 2.449 Å, rel. 462
- 70.7°, d = 1.333 Å, rel. 299
- 45.3°, d = 2.000 Å, rel. 247
- 78.0°, d = 1.225 Å, rel. 234
- 66.1°, d = 1.414 Å, rel. 167
- 89.5°, d = 1.095 Å, rel. 79
- 22.2°, d = 4.000 Å, rel. 17

Structure:
```
data_ZrNi4Sn
_space_group_name_H-M_alt 'P 1'
_space_group_IT_number 1
_space_group_name_Hall 'P 1'
_cell_length_a 4.899
_cell_length_b 4.899
_cell_length_c 4.899
_cell_angle_alpha 60.00
_cell_angle_beta 60.00
_cell_angle_gamma 60.00
loop_
_atom_site_label
_atom_site_type_symbol
_atom_site_fract_x
_atom_site_fract_y
_atom_site_fract_z
Zr1 Zr 0.000 0.000 0.000
Ni1 Ni 0.124 0.625 0.625
Ni2 Ni 0.625 0.124 0.625
Ni3 Ni 0.625 0.625 0.124
Ni4 Ni 0.625 0.625 0.625
Sn1 Sn 0.250 0.250 0.250
```